(1)
Diffraction record for NaTiSe4. The XRD peak list is theoretical, not measured: it uses the GGA-PBE geometry in Alexandria and Cu Kα.
No peak broadening, texture or thermal motion is included.

Atomic structure:
```
data_NaTiSe4
_space_group_name_H-M_alt 'P 1 21/c 1'
_space_group_IT_number 14
_space_group_name_Hall '-P 2ybc'
_cell_length_a 13.080
_cell_length_b 7.422
_cell_length_c 13.136
_cell_angle_alpha 90.00
_cell_angle_beta 106.63
_cell_angle_gamma 90.00
loop_
_atom_site_label
_atom_site_type_symbol
_atom_site_fract_x
_atom_site_fract_y
_atom_site_fract_z
_atom_site_occupancy
Na1 Na 0.038 0.164 0.119 1
Na2 Na 0.403 0.178 0.131 1
Ti1 Ti 0.233 0.726 0.115 1
Ti2 Ti 0.283 0.699 0.374 1
Se1 Se 0.050 0.582 0.104 1
Se2 Se 0.103 0.694 0.742 1
Se3 Se 0.176 0.518 0.500 1
Se4 Se 0.234 0.501 0.963 1
Se5 Se 0.252 0.079 0.752 1
Se6 Se 0.380 0.632 0.771 1
Se7 Se 0.398 0.648 0.049 1
Se8 Se 0.409 0.077 0.903 1
```

Most intense lines, 2θ from 10° to 90°, by angle:
hkl 1 1 0, 2θ = 13.9°, I 100; hkl 2 0 -4, 2θ = 27.8°, I 37; hkl 0 2 2, 2θ = 27.9°, I 29; hkl 3 1 -3, 2θ = 28.2°, I 89; hkl 0 2 3, 2θ = 32.2°, I 47; hkl 3 1 -4, 2θ = 32.7°, I 30; hkl 3 1 3, 2θ = 36.5°, I 35; hkl 3 1 4, 2θ = 42.4°, I 34; hkl 2 2 4, 2θ = 43.2°, I 29; hkl 6 0 0, 2θ = 43.3°, I 35


(2)
Diffraction record for BaSb4Pt5. The XRD peak list is theoretical, not measured: it uses the GGA-PBE geometry in Alexandria and Cu Kα.
No peak broadening, texture or thermal motion is included.

Atomic structure:
```
data_BaSb4Pt5
_space_group_name_H-M_alt 'P 1 21/m 1'
_space_group_IT_number 11
_space_group_name_Hall '-P 2yb'
_cell_length_a 4.636
_cell_length_b 7.889
_cell_length_c 12.635
_cell_angle_alpha 90.00
_cell_angle_beta 90.03
_cell_angle_gamma 90.00
loop_
_atom_site_label
_atom_site_type_symbol
_atom_site_fract_x
_atom_site_fract_y
_atom_site_fract_z
_atom_site_occupancy
Ba1 Ba 0.012 0.250 0.250 1
Sb1 Sb 0.244 0.750 0.028 1
Sb2 Sb 0.244 0.750 0.472 1
Sb3 Sb 0.497 0.052 0.750 1
Pt1 Pt 0.014 0.750 0.250 1
Pt2 Pt 0.245 0.058 0.561 1
Pt3 Pt 0.245 0.058 0.939 1
```

Most intense lines, 2θ from 10° to 90°, by angle:
hkl 0 1 1, 2θ = 13.2°, I 56; hkl 0 0 4, 2θ = 28.3°, I 36; hkl 1 0 3, 2θ = 28.6°, I 41; hkl 1 2 0, 2θ = 29.7°, I 27; hkl 1 2 2, 2θ = 33.0°, I 43; hkl 1 2 -3, 2θ = 36.7°, I 45; hkl 1 3 0, 2θ = 39.4°, I 44; hkl 2 0 -2, 2θ = 41.5°, I 100; hkl 1 3 2, 2θ = 42.0°, I 41; hkl 1 2 5, 2θ = 47.0°, I 34


(3)
Diffraction record for CeTh4Rh15. The XRD peak list is theoretical, not measured: it uses the GGA-PBE geometry in Alexandria and Cu Kα.
No peak broadening, texture or thermal motion is included.

Atomic structure:
```
data_CeTh4Rh15
_space_group_name_H-M_alt 'P 4/m m m'
_space_group_IT_number 123
_space_group_name_Hall '-P 4 2'
_cell_length_a 4.107
_cell_length_b 4.107
_cell_length_c 20.710
_cell_angle_alpha 90.00
_cell_angle_beta 90.00
_cell_angle_gamma 90.00
loop_
_atom_site_label
_atom_site_type_symbol
_atom_site_fract_x
_atom_site_fract_y
_atom_site_fract_z
_atom_site_occupancy
Ce1 Ce 0.000 0.000 0.000 1
Th1 Th 0.000 0.000 0.198 1
Th2 Th 0.000 0.000 0.399 1
Rh1 Rh 0.000 0.500 0.097 1
Rh2 Rh 0.000 0.500 0.299 1
Rh3 Rh 0.000 0.500 0.500 1
Rh4 Rh 0.500 0.500 0.000 1
Rh5 Rh 0.500 0.500 0.198 1
Rh6 Rh 0.500 0.500 0.400 1
```

Most intense lines, 2θ from 10° to 90°, by angle:
hkl 1 0 0, 2θ = 21.6°, I 7; hkl 1 0 5, 2θ = 30.7°, I 6; hkl 1 1 5, 2θ = 37.8°, I 100; hkl 0 0 10, 2θ = 43.7°, I 17; hkl 2 0 0, 2θ = 44.1°, I 33; hkl 2 0 10, 2θ = 63.8°, I 21; hkl 2 2 0, 2θ = 64.1°, I 11; hkl 1 1 15, 2θ = 76.4°, I 12; hkl 3 1 5, 2θ = 76.9°, I 25; hkl 2 2 10, 2θ = 80.8°, I 11


(4)
Diffraction record for CoSiNi6. The XRD peak list is theoretical, not measured: it uses the GGA-PBE geometry in Alexandria and Cu Kα.
No peak broadening, texture or thermal motion is included.

Atomic structure:
```
data_CoSiNi6
_space_group_name_H-M_alt 'C m m m'
_space_group_IT_number 65
_space_group_name_Hall '-C 2 2'
_cell_length_a 7.035
_cell_length_b 9.939
_cell_length_c 9.937
_cell_angle_alpha 90.00
_cell_angle_beta 90.00
_cell_angle_gamma 90.00
loop_
_atom_site_label
_atom_site_type_symbol
_atom_site_fract_x
_atom_site_fract_y
_atom_site_fract_z
_atom_site_occupancy
Co1 Co 0.000 0.000 0.248 1
Co2 Co 0.000 0.248 0.000 1
Si1 Si 0.000 0.247 0.500 1
Si2 Si 0.000 0.500 0.249 1
Ni1 Ni 0.000 0.000 0.000 1
Ni2 Ni 0.000 0.000 0.500 1
Ni3 Ni 0.000 0.250 0.251 1
Ni4 Ni 0.000 0.500 0.000 1
Ni5 Ni 0.000 0.500 0.500 1
Ni6 Ni 0.249 0.375 0.126 1
Ni7 Ni 0.249 0.375 0.376 1
```

Most intense lines, 2θ from 10° to 90°, by angle:
hkl 1 1 0, 2θ = 15.4°, I 1; hkl 1 1 2, 2θ = 23.7°, I 1; hkl 0 2 2, 2θ = 25.3°, I 2; hkl 0 4 0, 2θ = 36.1°, I 2; hkl 2 4 0, 2θ = 44.7°, I 100; hkl 4 0 0, 2θ = 52.0°, I 46; hkl 0 6 2, 2θ = 58.7°, I 1; hkl 2 6 2, 2θ = 65.0°, I 1; hkl 4 4 4, 2θ = 76.7°, I 27